SrMn2P2: theoretical powder diffraction line list (a wavelength of 1.5418 Å), based on a cell relaxed with GGA-PBE.
Neutral-atom scattering factors, no anomalous dispersion.

a = 3.852 Å, b = 3.852 Å, c = 7.126 Å
α = 90.00°, β = 90.00°, γ = 120.00°
Element x y z (fractional)
Sr 0.000 0.000 0.000
Mn 0.333 0.667 0.612
Mn 0.667 0.333 0.388
P 0.333 0.667 0.294
P 0.667 0.333 0.706

Most intense lines, 2θ from 5° to 70°, sorted by position:
29.57 deg, intensity 1000
36.91 deg, intensity 437
37.88 deg, intensity 157
46.96 deg, intensity 206
47.19 deg, intensity 452
62.04 deg, intensity 208



HfO2: theoretical powder diffraction line list (a wavelength of 1.5418 Å), based on a cell relaxed with GGA-PBE.
Neutral-atom scattering factors, no anomalous dispersion.

a = 3.589 Å, b = 3.589 Å, c = 3.589 Å
α = 60.00°, β = 60.00°, γ = 60.00°
Element x y z (fractional)
Hf 0.000 0.000 0.000
O 0.250 0.250 0.250
O 0.750 0.750 0.750

Most intense lines, 2θ from 5° to 70°, sorted by position:
30.51 deg, intensity 1000
35.37 deg, intensity 333
50.89 deg, intensity 495
60.50 deg, intensity 437
63.49 deg, intensity 92



Rb3AsI6: theoretical powder diffraction line list (a wavelength of 1.5418 Å), based on a cell relaxed with GGA-PBE.
Neutral-atom scattering factors, no anomalous dispersion.

a = 8.977 Å, b = 8.977 Å, c = 8.977 Å
α = 60.00°, β = 60.00°, γ = 60.00°
Element x y z (fractional)
Rb 0.000 0.000 0.000
Rb 0.250 0.250 0.250
Rb 0.750 0.750 0.750
As 0.500 0.500 0.500
I 0.273 0.273 0.727
I 0.273 0.727 0.273
I 0.273 0.727 0.727
I 0.727 0.273 0.273
I 0.727 0.273 0.727
I 0.727 0.727 0.273

Most intense lines, 2θ from 5° to 70°, sorted by position:
13.95 deg, intensity 310
24.29 deg, intensity 936
28.11 deg, intensity 1000
40.18 deg, intensity 694
47.50 deg, intensity 354
65.79 deg, intensity 251



CaCdAu: theoretical powder diffraction line list (a wavelength of 1.5418 Å), based on a cell relaxed with GGA-PBE.
Neutral-atom scattering factors, no anomalous dispersion.

a = 7.430 Å, b = 4.445 Å, c = 8.877 Å
α = 90.00°, β = 90.00°, γ = 90.00°
Element x y z (fractional)
Ca 0.041 0.250 0.181
Ca 0.459 0.750 0.681
Ca 0.541 0.250 0.319
Ca 0.959 0.750 0.819
Cd 0.142 0.250 0.560
Cd 0.358 0.750 0.060
Cd 0.642 0.250 0.940
Cd 0.858 0.750 0.440
Au 0.249 0.750 0.370
Au 0.251 0.250 0.870
Au 0.749 0.750 0.130
Au 0.751 0.250 0.630

Most intense lines, 2θ from 5° to 70°, sorted by position:
22.37 deg, intensity 802
23.35 deg, intensity 543
33.01 deg, intensity 1000
36.48 deg, intensity 639
38.51 deg, intensity 765
40.61 deg, intensity 669



CeIr3: theoretical powder diffraction line list (a wavelength of 1.5418 Å), based on a cell relaxed with GGA-PBE.
Neutral-atom scattering factors, no anomalous dispersion.

a = 9.370 Å, b = 9.370 Å, c = 9.370 Å
α = 33.03°, β = 33.03°, γ = 33.03°
Element x y z (fractional)
Ce 0.000 0.000 0.000
Ce 0.139 0.139 0.139
Ce 0.861 0.861 0.861
Ir 0.081 0.583 0.583
Ir 0.333 0.333 0.333
Ir 0.417 0.417 0.919
Ir 0.417 0.919 0.417
Ir 0.500 0.500 0.500
Ir 0.583 0.081 0.583
Ir 0.583 0.583 0.081
Ir 0.667 0.667 0.667
Ir 0.919 0.417 0.417

Most intense lines, 2θ from 5° to 70°, sorted by position:
19.53 deg, intensity 287
39.20 deg, intensity 313
39.49 deg, intensity 1000
40.78 deg, intensity 294
42.74 deg, intensity 455
64.11 deg, intensity 244



CsTmNb6Br18: theoretical powder diffraction line list (a wavelength of 1.5418 Å), based on a cell relaxed with GGA-PBE.
Neutral-atom scattering factors, no anomalous dispersion.

a = 9.894 Å, b = 9.894 Å, c = 18.474 Å
α = 90.00°, β = 90.00°, γ = 120.00°
Element x y z (fractional)
Cs 0.333 0.667 0.250
Cs 0.667 0.333 0.750
Tm 0.333 0.667 0.750
Tm 0.667 0.333 0.250
Nb 0.039 0.189 0.935
Nb 0.039 0.850 0.565
Nb 0.150 0.189 0.565
Nb 0.150 0.961 0.935
Nb 0.189 0.039 0.435
Nb 0.189 0.150 0.065
Nb 0.811 0.850 0.935
Nb 0.811 0.961 0.565
Nb 0.850 0.039 0.065
Nb 0.850 0.811 0.435
Nb 0.961 0.150 0.435
Nb 0.961 0.811 0.065
Br 0.047 0.234 0.160
Br 0.047 0.813 0.340
Br 0.087 0.451 0.838
Br 0.087 0.636 0.662
Br 0.140 0.418 0.499
Br 0.140 0.722 0.001
Br 0.187 0.234 0.340
Br 0.187 0.953 0.160
Br 0.234 0.047 0.660
Br 0.234 0.187 0.840
Br 0.278 0.418 0.001
Br 0.278 0.860 0.499
Br 0.364 0.451 0.662
Br 0.364 0.913 0.838
Br 0.418 0.140 0.999
Br 0.418 0.278 0.501
Br 0.451 0.087 0.338
Br 0.451 0.364 0.162
Br 0.549 0.636 0.838
Br 0.549 0.913 0.662
Br 0.582 0.722 0.499
Br 0.582 0.860 0.001
Br 0.636 0.087 0.162
Br 0.636 0.549 0.338
Br 0.722 0.140 0.501
Br 0.722 0.582 0.999
Br 0.766 0.813 0.160
Br 0.766 0.953 0.340
Br 0.813 0.047 0.840
Br 0.813 0.766 0.660
Br 0.860 0.278 0.999
Br 0.860 0.582 0.501
Br 0.913 0.364 0.338
Br 0.913 0.549 0.162
Br 0.953 0.187 0.660
Br 0.953 0.766 0.840

Most intense lines, 2θ from 5° to 70°, sorted by position:
10.32 deg, intensity 618
14.10 deg, intensity 691
31.20 deg, intensity 846
33.80 deg, intensity 1000
36.92 deg, intensity 429
40.44 deg, intensity 454